No. 1
Diffraction record for PaAu6. The PXRD pattern is calculated, not measured: it uses a cell relaxed with PBE and Cu Kα, 1.54184 Å.
Neutral-atom scattering factors, no anomalous dispersion.

Principal peaks in the range 2θ = 10–90°, sorted by position:
d_spacing	Rel. int.
2.631	95.3
2.589	100.0
2.544	70.0
2.394	56.2
2.221	56.4
2.169	94.9

Cell and atoms:
Cell: 9.069 5.636 10.997 Å, 90.00 90.00 90.00°
Fractional positions:
Pa1 0.241 0.250 0.068
Pa2 0.259 0.750 0.568
Pa3 0.741 0.250 0.432
Pa4 0.759 0.750 0.932
Au1 0.055 0.007 0.306
Au2 0.055 0.493 0.306
Au3 0.066 0.750 0.075
Au4 0.116 0.250 0.522
Au5 0.158 0.750 0.838
Au6 0.189 0.250 0.783
Au7 0.311 0.750 0.283
Au8 0.342 0.250 0.338
Au9 0.384 0.750 0.022
Au10 0.434 0.250 0.575
Au11 0.445 0.507 0.806
Au12 0.445 0.993 0.806
Au13 0.555 0.007 0.194
Au14 0.555 0.493 0.194
Au15 0.566 0.750 0.425
Au16 0.616 0.250 0.978
Au17 0.658 0.750 0.662
Au18 0.689 0.250 0.717
Au19 0.811 0.750 0.217
Au20 0.842 0.250 0.162
Au21 0.884 0.750 0.478
Au22 0.934 0.250 0.925
Au23 0.945 0.507 0.694
Au24 0.945 0.993 0.694

No. 2
Diffraction record for PaPtPbAu. The PXRD pattern is calculated, not measured: it uses a cell relaxed with PBE and Cu Kα, 1.54184 Å.
Neutral-atom scattering factors, no anomalous dispersion.

Principal peaks in the range 2θ = 10–90°, sorted by position:
d_spacing	Rel. int.
2.496	100.0
1.765	18.0
1.441	37.4
1.248	11.8
1.116	17.5

Cell and atoms:
Cell: 4.991 4.991 4.991 Å, 60.00 60.00 60.00°
Fractional positions:
Pa1 0.000 0.000 0.000
Pt1 0.750 0.750 0.750
Pb1 0.500 0.500 0.500
Au1 0.250 0.250 0.250

No. 3
Diffraction record for Pa2Pd12Au5. The PXRD pattern is calculated, not measured: it uses a cell relaxed with PBE and Cu Kα, 1.54184 Å.
Neutral-atom scattering factors, no anomalous dispersion.

Principal peaks in the range 2θ = 10–90°, sorted by position:
d_spacing	Rel. int.
2.390	52.1
2.348	100.0
2.316	48.6
2.101	35.7
2.012	32.0
1.998	30.8

Cell and atoms:
Cell: 6.620 7.429 7.561 Å, 85.20 89.59 65.84°
Fractional positions:
Pa1 0.247 0.004 0.250
Pa2 0.753 0.996 0.750
Pd1 0.053 0.798 0.044
Pd2 0.107 0.093 0.605
Pd3 0.154 0.392 0.155
Pd4 0.342 0.616 0.340
Pd5 0.401 0.892 0.905
Pd6 0.445 0.203 0.454
Pd7 0.555 0.797 0.546
Pd8 0.599 0.108 0.095
Pd9 0.658 0.384 0.660
Pd10 0.846 0.608 0.845
Pd11 0.893 0.907 0.395
Pd12 0.947 0.202 0.956
Au1 0.000 0.500 0.500
Au2 0.227 0.689 0.700
Au3 0.291 0.303 0.812
Au4 0.709 0.697 0.188
Au5 0.773 0.311 0.300